This entry pairs a crystal structure of Al2ZnSe4 with its calculated powder XRD pattern. Radiation: Cu Kα, 1.54184 Å. Structure: a PBE-relaxed structure.
Neutral-atom scattering factors, no anomalous dispersion.

Peak list (6 most intense, 10 to 90 degrees two-theta, sorted by position)
| two_theta | d_spacing | Rel. int. |
| --- | --- | --- |
| 27.69 | 3.221 | 100 |
| 45.62 | 1.989 | 21 |
| 46.21 | 1.965 | 39 |
| 54.21 | 1.692 | 29 |
| 55.24 | 1.663 | 13 |
| 84.79 | 1.143 | 13 |

Atomic structure:
```
7
Lattice="-2.8122 2.8122 5.4920 2.8122 -2.8122 5.4920 2.8122 2.8122 -5.4920" Properties=species:S:1:pos:R:3 pbc="T T T"
Al 0.0000 0.0000 0.0000
Al 0.0000 2.8122 2.7460
Zn 2.8122 0.0000 2.7460
Se 1.4813 1.4178 -1.2936
Se 1.3944 -1.3309 6.7855
Se 1.3309 1.3944 4.1984
Se 1.4178 4.1431 1.2936
```

This entry pairs a crystal structure of Al2ZnSe4 with its calculated powder XRD pattern. Radiation: Cu Kα, 1.54184 Å. Structure: a PBE-relaxed structure.
Neutral-atom scattering factors, no anomalous dispersion.

Peak list (6 most intense, 10 to 90 degrees two-theta, sorted by position)
| two_theta | d_spacing | Rel. int. |
| --- | --- | --- |
| 27.79 | 3.210 | 100 |
| 45.87 | 1.978 | 41 |
| 46.81 | 1.941 | 19 |
| 53.64 | 1.709 | 15 |
| 55.32 | 1.661 | 26 |
| 86.27 | 1.128 | 12 |

Atomic structure:
```
7
Lattice="5.4889 0.0000 0.0000 0.0000 5.4889 0.0000 0.0000 0.0000 5.7089" Properties=species:S:1:pos:R:3 pbc="T T T"
Al 0.0000 2.7445 0.0000
Al 2.7445 0.0000 0.0000
Zn 0.0000 0.0000 2.8544
Se 1.4624 1.4624 4.2447
Se 1.4624 4.0266 1.4642
Se 4.0266 1.4624 1.4642
Se 4.0266 4.0266 4.2447
```

This entry pairs a crystal structure of Zr2Al2Se7 with its calculated powder XRD pattern. Radiation: Cu Kα, 1.54184 Å. Structure: a PBE-relaxed structure.
Neutral-atom scattering factors, no anomalous dispersion.

Peak list (6 most intense, 10 to 90 degrees two-theta, sorted by position)
| two_theta | d_spacing | Rel. int. |
| --- | --- | --- |
| 13.27 | 6.671 | 51 |
| 20.87 | 4.256 | 54 |
| 21.15 | 4.200 | 100 |
| 31.03 | 2.882 | 72 |
| 32.93 | 2.720 | 65 |
| 40.46 | 2.229 | 63 |

Atomic structure:
```
11
Lattice="4.2965 -5.5383 0.0000 4.2965 5.5383 0.0000 -1.5447 0.0000 6.4445" Properties=species:S:1:pos:R:3 pbc="T T T"
Zr 4.2965 3.4750 0.0000
Zr 4.2965 -3.4750 0.0000
Al 1.3510 0.0000 3.9244
Al 5.6971 0.0000 2.5201
Se 0.8851 2.0720 5.0626
Se 0.3084 0.0000 1.6755
Se 0.8851 -2.0720 5.0626
Se 3.5241 0.0000 3.2222
Se 6.1631 2.0720 1.3819
Se 6.7398 0.0000 4.7689
Se 6.1631 -2.0720 1.3819
```

This entry pairs a crystal structure of Al3Si2 with its calculated powder XRD pattern. Radiation: Cu Kα, 1.54184 Å. Structure: a PBE-relaxed structure.
Neutral-atom scattering factors, no anomalous dispersion.

Peak list (6 most intense, 10 to 90 degrees two-theta, sorted by position)
| two_theta | d_spacing | Rel. int. |
| --- | --- | --- |
| 35.92 | 2.500 | 43 |
| 37.87 | 2.376 | 38 |
| 40.89 | 2.207 | 100 |
| 42.47 | 2.129 | 70 |
| 44.84 | 2.021 | 21 |
| 47.53 | 1.913 | 30 |

Atomic structure:
```
10
Lattice="0.0000 6.4521 2.3142 5.4244 0.0000 2.3142 5.4244 6.4521 0.0000" Properties=species:S:1:pos:R:3 pbc="T T T"
Al 5.4244 6.4521 0.0022
Al 2.7122 3.2261 1.1593
Al 4.6967 5.1585 2.3142
Al 6.1522 7.7457 2.3142
Al 8.8644 8.3845 3.4712
Al 7.4089 10.9718 3.4712
Si 3.0406 0.5397 1.1253
Si 5.7528 2.6863 2.2823
Si 2.3838 5.9124 1.1253
Si 5.0960 10.2179 2.2823
```

This entry pairs a crystal structure of Al3Si23 with its calculated powder XRD pattern. Radiation: Cu Kα, 1.54184 Å. Structure: a PBE-relaxed structure.
Neutral-atom scattering factors, no anomalous dispersion.

Peak list (6 most intense, 10 to 90 degrees two-theta, sorted by position)
| two_theta | d_spacing | Rel. int. |
| --- | --- | --- |
| 21.41 | 4.151 | 29 |
| 30.46 | 2.935 | 56 |
| 31.73 | 2.820 | 48 |
| 32.97 | 2.717 | 100 |
| 52.48 | 1.744 | 84 |
| 55.74 | 1.649 | 49 |

Atomic structure:
```
52
Lattice="10.1667 0.0000 0.0000 0.0000 10.1667 0.0000 0.0000 0.0000 10.1667" Properties=species:S:1:pos:R:3 pbc="T T T"
Al 0.0000 2.5417 5.0833
Al 0.0000 7.6250 5.0833
Al 2.5417 5.0833 0.0000
Al 5.0833 0.0000 2.5417
Al 5.0833 0.0000 7.6250
Al 7.6250 5.0833 0.0000
Si 0.0000 3.1389 1.1873
Si 0.0000 3.1389 8.9794
Si 0.0000 5.0833 2.5417
Si 0.0000 5.0833 7.6250
Si 0.0000 7.0278 1.1873
Si 0.0000 7.0278 8.9794
Si 1.1873 0.0000 3.1389
Si 1.1873 0.0000 7.0278
Si 1.8724 1.8724 1.8724
Si 1.8724 1.8724 8.2942
Si 1.8724 8.2942 1.8724
Si 1.8724 8.2942 8.2942
Si 1.9445 5.0833 3.8960
Si 1.9445 5.0833 6.2706
Si 2.5417 0.0000 5.0833
Si 3.1389 1.1873 0.0000
Si 3.1389 8.9794 0.0000
Si 3.2109 3.2109 3.2109
Si 3.2109 3.2109 6.9558
Si 3.2109 6.9558 3.2109
Si 3.2109 6.9558 6.9558
Si 3.8960 1.9445 5.0833
Si 3.8960 8.2222 5.0833
Si 5.0833 2.5417 0.0000
Si 5.0833 3.8960 1.9445
Si 5.0833 3.8960 8.2222
Si 5.0833 6.2706 1.9445
Si 5.0833 6.2706 8.2222
Si 5.0833 7.6250 0.0000
Si 6.2706 1.9445 5.0833
Si 6.2706 8.2222 5.0833
Si 6.9558 3.2109 3.2109
Si 6.9558 3.2109 6.9558
Si 6.9558 6.9558 3.2109
Si 6.9558 6.9558 6.9558
Si 7.0278 1.1873 0.0000
Si 7.0278 8.9794 0.0000
Si 7.6250 0.0000 5.0833
Si 8.2222 5.0833 3.8960
Si 8.2222 5.0833 6.2706
Si 8.2942 1.8724 1.8724
Si 8.2942 1.8724 8.2942
Si 8.2942 8.2942 1.8724
Si 8.2942 8.2942 8.2942
Si 8.9794 0.0000 3.1389
Si 8.9794 0.0000 7.0278
```

This entry pairs a crystal structure of Al3Si with its calculated powder XRD pattern. Radiation: Cu Kα, 1.54184 Å. Structure: a PBE-relaxed structure.
Neutral-atom scattering factors, no anomalous dispersion.

Peak list (6 most intense, 10 to 90 degrees two-theta, sorted by position)
| two_theta | d_spacing | Rel. int. |
| --- | --- | --- |
| 38.64 | 2.330 | 100 |
| 40.63 | 2.221 | 28 |
| 45.51 | 1.993 | 61 |
| 64.94 | 1.436 | 21 |
| 67.71 | 1.384 | 18 |
| 79.48 | 1.206 | 23 |

Atomic structure:
```
4
Lattice="1.4360 0.8291 8.8829 -1.4360 0.8291 8.8829 0.0000 -1.6581 8.8829" Properties=species:S:1:pos:R:3 pbc="T T T"
Al 0.0000 0.0000 0.0000
Al 0.0000 0.0000 6.5762
Al 0.0000 0.0000 20.0724
Si 0.0000 0.0000 13.3243
```